Record 1
This entry pairs a crystal structure of Sr2ReO6 with its simulated XRD peak list. Radiation: Cu Kα, 1.54184 Å. Structure: a DFT-relaxed cell (GGA-PBE, Alexandria).
Intensities are scaled so that the largest is 100.

Structural model:
abc: 5.835 6.420 9.303
angles: 90.00 121.05 90.00
Positions (direct):
Sr 0.197 0.087 0.241
Sr 0.197 0.413 0.741
Sr 0.803 0.587 0.259
Sr 0.803 0.913 0.759
Re 0.500 0.000 0.000
Re 0.500 0.500 0.500
O 0.188 0.147 0.954
O 0.188 0.353 0.454
O 0.292 0.748 0.416
O 0.292 0.752 0.916
O 0.431 0.067 0.784
O 0.431 0.433 0.284
O 0.569 0.567 0.716
O 0.569 0.933 0.216
O 0.708 0.248 0.084
O 0.708 0.252 0.584
O 0.812 0.647 0.546
O 0.812 0.853 0.046

Largest 6 diffraction maxima, in order of rising 2θ, 2θ from 10° to 80°:
- 17.7°, rel. 100
- 20.1°, rel. 36
- 29.1°, rel. 46
- 32.1°, rel. 39
- 34.5°, rel. 32
- 45.5°, rel. 18



Record 2
This entry pairs a crystal structure of Sr2Tl3ReO6 with its simulated XRD peak list. Radiation: Cu Kα, 1.54184 Å. Structure: a DFT-relaxed cell (GGA-PBE, Alexandria).
Intensities are scaled so that the largest is 100.

Structural model:
abc: 6.040 6.040 7.706
angles: 101.56 101.56 118.70
Positions (direct):
Sr 0.166 0.834 0.000
Sr 0.834 0.166 0.000
Tl 0.157 0.843 0.500
Tl 0.500 0.500 0.500
Tl 0.843 0.157 0.500
Re 0.500 0.500 0.000
O 0.164 0.164 0.840
O 0.306 0.571 0.150
O 0.429 0.694 0.850
O 0.571 0.306 0.150
O 0.694 0.429 0.850
O 0.836 0.836 0.160

Largest 6 diffraction maxima, in order of rising 2θ, 2θ from 10° to 80°:
- 25.1°, rel. 84
- 30.2°, rel. 100
- 31.6°, rel. 53
- 31.8°, rel. 41
- 35.3°, rel. 83
- 43.7°, rel. 39